Entry 1:
The following is a theoretical powder diffractogram of VAgS2. It was derived from a crystal structure in Alexandria, relaxed with GGA-PBE, using copper Kα.
Peak positions follow from Bragg's law for the DFT cell and can differ from measured ones.

Structure:
Cell: 6.794 6.794 5.713 Å, 114.85 114.85 105.86°
Sites, in units of the cell vectors:
V (0.000, 0.000, 0.250)
V (0.000, 0.000, 0.750)
Ag (0.499, 0.501, 0.750)
Ag (0.501, 0.499, 0.250)
S (0.074, 0.320, 0.196)
S (0.320, 0.074, 0.696)
S (0.680, 0.926, 0.304)
S (0.926, 0.680, 0.804)

Principal peaks in the range 10 to 90 degrees two-theta, by intensity:
2θ 16.35, I 100; 2θ 34.75, I 29; 2θ 35.53, I 27; 2θ 44.24, I 25; 2θ 46.17, I 25; 2θ 47.47, I 24; 2θ 45.55, I 23; 2θ 27.29, I 18; 2θ 35.93, I 12; 2θ 17.17, I 12

---

Entry 2:
The following is a theoretical powder diffractogram of VAgS2. It was derived from a crystal structure in Alexandria, relaxed with GGA-PBE, using copper Kα.
Peak positions follow from Bragg's law for the DFT cell and can differ from measured ones.

Structure:
Cell: 3.211 3.211 7.750 Å, 90.05 90.05 120.00°
Sites, in units of the cell vectors:
V (0.000, 0.000, 0.000)
Ag (0.333, 0.667, 0.500)
S (0.333, 0.666, 0.814)
S (0.334, 0.667, 0.186)

Principal peaks in the range 10 to 90 degrees two-theta, by intensity:
2θ 32.19, I 100; 2θ 48.07, I 98; 2θ 34.26, I 95; 2θ 22.95, I 41; 2θ 57.39, I 35; 2θ 34.73, I 16; 2θ 39.90, I 16; 2θ 78.02, I 15; 2θ 62.63, I 14; 2θ 11.42, I 13

---

Entry 3:
The following is a theoretical powder diffractogram of Y5AgS4. It was derived from a crystal structure in Alexandria, relaxed with GGA-PBE, using copper Kα.
Peak positions follow from Bragg's law for the DFT cell and can differ from measured ones.

Structure:
Cell: 6.941 6.941 9.857 Å, 118.87 118.87 32.83°
Sites, in units of the cell vectors:
Y (0.000, 0.000, 0.000)
Y (0.204, 0.204, 0.809)
Y (0.392, 0.392, 0.608)
Y (0.608, 0.608, 0.392)
Y (0.796, 0.796, 0.191)
Ag (0.000, 0.000, 0.500)
S (0.202, 0.202, 0.295)
S (0.401, 0.401, 0.098)
S (0.599, 0.599, 0.902)
S (0.798, 0.798, 0.705)

Principal peaks in the range 10 to 90 degrees two-theta, by intensity:
2θ 31.82, I 100; 2θ 45.53, I 23; 2θ 45.71, I 23; 2θ 46.28, I 12; 2θ 57.26, I 12; 2θ 44.95, I 11; 2θ 66.50, I 10; 2θ 75.74, I 10; 2θ 75.48, I 9; 2θ 27.72, I 8

---

Entry 4:
The following is a theoretical powder diffractogram of Zr2Ag4S5. It was derived from a crystal structure in Alexandria, relaxed with GGA-PBE, using copper Kα.
Peak positions follow from Bragg's law for the DFT cell and can differ from measured ones.

Structure:
Cell: 17.851 17.851 17.851 Å, 12.47 12.47 12.47°
Sites, in units of the cell vectors:
Zr (0.142, 0.142, 0.142)
Zr (0.858, 0.858, 0.858)
Ag (0.314, 0.314, 0.314)
Ag (0.416, 0.416, 0.416)
Ag (0.584, 0.584, 0.584)
Ag (0.686, 0.686, 0.686)
S (0.221, 0.221, 0.221)
S (0.370, 0.370, 0.370)
S (0.500, 0.500, 0.500)
S (0.630, 0.630, 0.630)
S (0.779, 0.779, 0.779)

Principal peaks in the range 10 to 90 degrees two-theta, by intensity:
2θ 32.48, I 100; 2θ 46.87, I 57; 2θ 27.40, I 31; 2θ 29.08, I 30; 2θ 46.31, I 30; 2θ 26.60, I 24; 2θ 30.28, I 23; 2θ 56.83, I 22; 2θ 42.05, I 19; 2θ 58.18, I 18